[1]
This entry pairs a crystal structure of YVB4 with its calculated X-ray powder pattern. Radiation: copper Kα. Structure: a DFT-relaxed cell (PBE, the Materials Project).
Kinematic intensities with the Lorentz-polarization factor, no thermal factor.

Principal peaks in the range 10° ≤ 2θ ≤ 90°, low angle first:
2θ/deg	I (rel.)	(hkl)
25.80	56	0 0 1
27.36	27	1 3 0
30.73	75	2 1 0
37.93	49	1 3 1
40.55	100	2 1 1
43.36	29	1 4 1

Structural model:
```
data_YVB4
_chemical_formula_sum 'Y4 V4 B16'
_space_group_name_H-M_alt 'P b a m'
_space_group_IT_number 55
_cell_length_a 6.0090
_cell_length_b 11.6396
_cell_length_c 3.4530
_cell_angle_alpha 90.00
_cell_angle_beta 90.00
_cell_angle_gamma 90.00
loop_
_space_group_symop_operation_xyz
'x,y,z'
'-x,-y,-z'
'-x,-y,z'
'x,y,-z'
'x+1/2,-y+1/2,-z'
'-x+1/2,y+1/2,z'
'-x+1/2,y+1/2,-z'
'x+1/2,-y+1/2,z'
loop_
_atom_site_label
_atom_site_type_symbol
_atom_site_fract_x
_atom_site_fract_y
_atom_site_fract_z
_atom_site_occupancy
Y1 Y 0.1243 0.1516 0.0000 1
V1 V 0.1270 0.4173 0.0000 1
B1 B 0.0224 0.6922 0.5000 1
B2 B 0.1144 0.5475 0.5000 1
B3 B 0.1360 0.9674 0.5000 1
B4 B 0.2138 0.8145 0.5000 1
```

[2]
This entry pairs a crystal structure of BW with its calculated X-ray powder pattern. Radiation: copper Kα. Structure: a DFT-relaxed cell (PBE, the Materials Project).
Kinematic intensities with the Lorentz-polarization factor, no thermal factor.

Principal peaks in the range 10° ≤ 2θ ≤ 90°, low angle first:
2θ/deg	I (rel.)	(hkl)
29.97	58	1 1 0
35.74	100	0 2 1
41.98	94	1 1 1
42.65	61	1 3 0
69.45	30	1 5 1
69.98	29	2 2 1

Structural model:
```
data_BW
_chemical_formula_sum 'B4 W4'
_space_group_name_H-M_alt 'C m c m'
_space_group_IT_number 63
_space_group_name_Hall '-C 2c 2'
_cell_length_a 3.1829
_cell_length_b 8.5270
_cell_length_c 3.1098
_cell_angle_alpha 90.00
_cell_angle_beta 90.00
_cell_angle_gamma 90.00
loop_
_atom_site_label
_atom_site_type_symbol
_atom_site_fract_x
_atom_site_fract_y
_atom_site_fract_z
_atom_site_occupancy
B1 B 0.0000 0.0606 0.2500 1
W1 W 0.0000 0.3553 0.2500 1
```

[3]
This entry pairs a crystal structure of B2W with its calculated X-ray powder pattern. Radiation: copper Kα. Structure: a DFT-relaxed cell (PBE, the Materials Project).
Kinematic intensities with the Lorentz-polarization factor, no thermal factor.

Principal peaks in the range 10° ≤ 2θ ≤ 90°, low angle first:
2θ/deg	I (rel.)	(hkl)
26.35	48	0 0 1
34.26	82	1 0 0
43.73	100	1 0 1
61.35	20	1 1 0
65.74	26	1 0 2
67.94	22	1 1 1

Structural model:
```
data_B2W
_chemical_formula_sum 'B2 W1'
_space_group_name_H-M_alt 'P 6/m m m'
_space_group_IT_number 191
_space_group_name_Hall '-P 6 2'
_cell_length_a 3.0224
_cell_length_b 3.0224
_cell_length_c 3.3820
_cell_angle_alpha 90.00
_cell_angle_beta 90.00
_cell_angle_gamma 120.00
loop_
_atom_site_label
_atom_site_type_symbol
_atom_site_fract_x
_atom_site_fract_y
_atom_site_fract_z
_atom_site_occupancy
B1 B 0.3333 0.6667 0.0000 1
W1 W 0.0000 0.0000 0.5000 1
```

[4]
This entry pairs a crystal structure of BW with its calculated X-ray powder pattern. Radiation: copper Kα. Structure: a DFT-relaxed cell (PBE, the Materials Project).
Kinematic intensities with the Lorentz-polarization factor, no thermal factor.

Principal peaks in the range 10° ≤ 2θ ≤ 90°, low angle first:
2θ/deg	I (rel.)	(hkl)
32.54	99	1 0 3
38.96	93	1 0 5
41.98	100	1 1 2
47.20	32	1 0 7
58.70	32	2 0 0
69.48	32	1 1 10

Structural model:
```
data_BW
_chemical_formula_sum 'B8 W8'
_space_group_name_H-M_alt 'I 41/a m d'
_space_group_IT_number 141
_cell_length_a 3.1457
_cell_length_b 3.1457
_cell_length_c 17.0437
_cell_angle_alpha 90.00
_cell_angle_beta 90.00
_cell_angle_gamma 90.00
loop_
_space_group_symop_operation_xyz
'x,y,z'
'-x,-y,-z'
'-y+1/4,x+3/4,z+1/4'
'y+1/4,-x+3/4,-z+1/4'
'-x+1/2,-y,z+1/2'
'x+1/2,y,-z+1/2'
'y+1/4,-x+1/4,z+3/4'
'-y+1/4,x+1/4,-z+3/4'
'x,-y,-z'
'-x,y,z'
'-y+1/4,-x+1/4,-z+3/4'
'y+1/4,x+1/4,z+3/4'
'-x+1/2,y,-z+1/2'
'x+1/2,-y,z+1/2'
'y+1/4,x+3/4,-z+1/4'
'-y+1/4,-x+3/4,z+1/4'
'x+1/2,y+1/2,z+1/2'
'-x+1/2,-y+1/2,-z+1/2'
'-y+3/4,x+1/4,z+3/4'
'y+3/4,-x+1/4,-z+3/4'
'-x,-y+1/2,z'
'x,y+1/2,-z'
'y+3/4,-x+3/4,z+1/4'
'-y+3/4,x+3/4,-z+1/4'
'x+1/2,-y+1/2,-z+1/2'
'-x+1/2,y+1/2,z+1/2'
'-y+3/4,-x+3/4,-z+1/4'
'y+3/4,x+3/4,z+1/4'
'-x,y+1/2,-z'
'x,-y+1/2,z'
'y+3/4,x+1/4,-z+3/4'
'-y+3/4,-x+1/4,z+3/4'
loop_
_atom_site_label
_atom_site_type_symbol
_atom_site_fract_x
_atom_site_fract_y
_atom_site_fract_z
_atom_site_occupancy
B1 B 0.0000 0.2500 0.0312 1
W1 W 0.0000 0.2500 0.1781 1
```

[5]
This entry pairs a crystal structure of B2W with its calculated X-ray powder pattern. Radiation: copper Kα. Structure: a DFT-relaxed cell (PBE, the Materials Project).
Kinematic intensities with the Lorentz-polarization factor, no thermal factor.

Principal peaks in the range 10° ≤ 2θ ≤ 90°, low angle first:
2θ/deg	I (rel.)	(hkl)
25.28	75	0 0 4
34.30	35	1 0 0
34.91	100	1 0 1
39.45	45	1 0 3
43.09	33	1 0 4
47.44	71	1 0 5

Structural model:
```
data_B2W
_chemical_formula_sum 'B8 W4'
_space_group_name_H-M_alt 'P 63/m m c'
_space_group_IT_number 194
_space_group_name_Hall '-P 6c 2c'
_cell_length_a 3.0188
_cell_length_b 3.0188
_cell_length_c 14.0895
_cell_angle_alpha 90.00
_cell_angle_beta 90.00
_cell_angle_gamma 120.00
loop_
_atom_site_label
_atom_site_type_symbol
_atom_site_fract_x
_atom_site_fract_y
_atom_site_fract_z
_atom_site_occupancy
B1 B 0.0000 0.0000 0.2500 1
B2 B 0.3333 0.6667 0.0227 1
B3 B 0.3333 0.6667 0.2500 1
W1 W 0.3333 0.6667 0.6348 1
```

[6]
This entry pairs a crystal structure of YB4W with its calculated X-ray powder pattern. Radiation: copper Kα. Structure: a DFT-relaxed cell (PBE, the Materials Project).
Kinematic intensities with the Lorentz-polarization factor, no thermal factor.

Principal peaks in the range 10° ≤ 2θ ≤ 90°, low angle first:
2θ/deg	I (rel.)	(hkl)
16.51	46	1 1 0
24.52	100	0 0 1
30.56	76	0 4 0
37.66	48	2 3 0
39.56	95	0 4 1
45.46	66	2 3 1

Structural model:
```
data_YB4W
_chemical_formula_sum 'Y4 B16 W4'
_space_group_name_H-M_alt 'P b a m'
_space_group_IT_number 55
_cell_length_a 6.0468
_cell_length_b 11.6856
_cell_length_c 3.6306
_cell_angle_alpha 90.00
_cell_angle_beta 90.00
_cell_angle_gamma 90.00
loop_
_space_group_symop_operation_xyz
'x,y,z'
'-x,-y,-z'
'-x,-y,z'
'x,y,-z'
'x+1/2,-y+1/2,-z'
'-x+1/2,y+1/2,z'
'-x+1/2,y+1/2,-z'
'x+1/2,-y+1/2,z'
loop_
_atom_site_label
_atom_site_type_symbol
_atom_site_fract_x
_atom_site_fract_y
_atom_site_fract_z
_atom_site_occupancy
Y1 Y 0.1269 0.1498 0.0000 1
B1 B 0.0241 0.6931 0.5000 1
B2 B 0.1140 0.5472 0.5000 1
B3 B 0.1336 0.9678 0.5000 1
B4 B 0.2135 0.8136 0.5000 1
W1 W 0.1305 0.4158 0.0000 1
```

[7]
This entry pairs a crystal structure of YB6 with its calculated X-ray powder pattern. Radiation: copper Kα. Structure: a DFT-relaxed cell (PBE, the Materials Project).
Kinematic intensities with the Lorentz-polarization factor, no thermal factor.

Principal peaks in the range 10° ≤ 2θ ≤ 90°, low angle first:
2θ/deg	I (rel.)	(hkl)
21.66	44	1 0 0
30.83	100	1 1 0
37.99	44	1 1 1
44.16	22	2 0 0
49.70	46	2 1 0
68.64	28	2 2 1

Structural model:
```
data_YB6
_chemical_formula_sum 'Y1 B6'
_space_group_name_H-M_alt 'P m -3 m'
_space_group_IT_number 221
_space_group_name_Hall '-P 4 2 3'
_cell_length_a 4.1021
_cell_length_b 4.1021
_cell_length_c 4.1021
_cell_angle_alpha 90.00
_cell_angle_beta 90.00
_cell_angle_gamma 90.00
loop_
_atom_site_label
_atom_site_type_symbol
_atom_site_fract_x
_atom_site_fract_y
_atom_site_fract_z
_atom_site_occupancy
Y1 Y 0.0000 0.0000 0.0000 1
B1 B 0.1990 0.5000 0.5000 1
```

[8]
This entry pairs a crystal structure of YB2 with its calculated X-ray powder pattern. Radiation: copper Kα. Structure: a DFT-relaxed cell (PBE, the Materials Project).
Kinematic intensities with the Lorentz-polarization factor, no thermal factor.

Principal peaks in the range 10° ≤ 2θ ≤ 90°, low angle first:
2θ/deg	I (rel.)	(hkl)
23.08	37	0 0 1
31.29	66	1 0 0
39.23	100	1 0 1
55.68	20	1 1 0
57.69	23	1 0 2
70.22	17	2 0 1

Structural model:
```
data_YB2
_chemical_formula_sum 'Y1 B2'
_space_group_name_H-M_alt 'P 6/m m m'
_space_group_IT_number 191
_space_group_name_Hall '-P 6 2'
_cell_length_a 3.3014
_cell_length_b 3.3014
_cell_length_c 3.8540
_cell_angle_alpha 90.00
_cell_angle_beta 90.00
_cell_angle_gamma 120.00
loop_
_atom_site_label
_atom_site_type_symbol
_atom_site_fract_x
_atom_site_fract_y
_atom_site_fract_z
_atom_site_occupancy
Y1 Y 0.0000 0.0000 0.0000 1
B1 B 0.3333 0.6667 0.5000 1
```

[9]
This entry pairs a crystal structure of YB4 with its calculated X-ray powder pattern. Radiation: copper Kα. Structure: a DFT-relaxed cell (PBE, the Materials Project).
Kinematic intensities with the Lorentz-polarization factor, no thermal factor.

Principal peaks in the range 10° ≤ 2θ ≤ 90°, low angle first:
2θ/deg	I (rel.)	(hkl)
22.07	41	0 0 1
28.05	68	2 1 0
33.62	53	2 0 1
35.98	100	2 1 1
53.09	29	4 1 0
58.18	27	4 1 1

Structural model:
```
data_YB4
_chemical_formula_sum 'Y4 B16'
_space_group_name_H-M_alt 'P 4/m b m'
_space_group_IT_number 127
_space_group_name_Hall '-P 4 2ab'
_cell_length_a 7.1126
_cell_length_b 7.1126
_cell_length_c 4.0271
_cell_angle_alpha 90.00
_cell_angle_beta 90.00
_cell_angle_gamma 90.00
loop_
_atom_site_label
_atom_site_type_symbol
_atom_site_fract_x
_atom_site_fract_y
_atom_site_fract_z
_atom_site_occupancy
Y1 Y 0.1820 0.3180 0.0000 1
B1 B 0.0000 0.0000 0.2031 1
B2 B 0.0386 0.8240 0.5000 1
B3 B 0.0871 0.5871 0.5000 1
```

[10]
This entry pairs a crystal structure of Zn3B with its calculated X-ray powder pattern. Radiation: copper Kα. Structure: a DFT-relaxed cell (PBE, the Materials Project).
Kinematic intensities with the Lorentz-polarization factor, no thermal factor.

Principal peaks in the range 10° ≤ 2θ ≤ 90°, low angle first:
2θ/deg	I (rel.)	(hkl)
26.82	27	1 0 1
42.14	100	1 1 2
49.00	32	2 0 0
49.15	16	0 0 4
71.93	19	2 0 4
86.92	22	3 1 2

Structural model:
```
data_Zn3B
_chemical_formula_sum 'Zn6 B2'
_space_group_name_H-M_alt 'I 4/m m m'
_space_group_IT_number 139
_space_group_name_Hall '-I 4 2'
_cell_length_a 3.7180
_cell_length_b 3.7180
_cell_length_c 7.4147
_cell_angle_alpha 90.00
_cell_angle_beta 90.00
_cell_angle_gamma 90.00
loop_
_atom_site_label
_atom_site_type_symbol
_atom_site_fract_x
_atom_site_fract_y
_atom_site_fract_z
_atom_site_occupancy
Zn1 Zn 0.0000 0.0000 0.0000 1
Zn2 Zn 0.0000 0.5000 0.2500 1
B1 B 0.0000 0.0000 0.5000 1
```

[11]
This entry pairs a crystal structure of Zn3B with its calculated X-ray powder pattern. Radiation: copper Kα. Structure: a DFT-relaxed cell (PBE, the Materials Project).
Kinematic intensities with the Lorentz-polarization factor, no thermal factor.

Principal peaks in the range 10° ≤ 2θ ≤ 90°, low angle first:
2θ/deg	I (rel.)	(hkl)
24.05	27	1 0 0
34.27	22	1 1 0
42.31	100	1 1 1
49.25	47	2 0 0
72.21	28	2 2 0
87.42	33	3 1 1

Structural model:
```
data_Zn3B
_chemical_formula_sum 'Zn3 B1'
_space_group_name_H-M_alt 'P m -3 m'
_space_group_IT_number 221
_space_group_name_Hall '-P 4 2 3'
_cell_length_a 3.7002
_cell_length_b 3.7002
_cell_length_c 3.7002
_cell_angle_alpha 90.00
_cell_angle_beta 90.00
_cell_angle_gamma 90.00
loop_
_atom_site_label
_atom_site_type_symbol
_atom_site_fract_x
_atom_site_fract_y
_atom_site_fract_z
_atom_site_occupancy
Zn1 Zn 0.0000 0.0000 0.5000 1
B1 B 0.5000 0.5000 0.5000 1
```

[12]
This entry pairs a crystal structure of ZrB2 with its calculated X-ray powder pattern. Radiation: copper Kα. Structure: a DFT-relaxed cell (PBE, the Materials Project).
Kinematic intensities with the Lorentz-polarization factor, no thermal factor.

Principal peaks in the range 10° ≤ 2θ ≤ 90°, low angle first:
2θ/deg	I (rel.)	(hkl)
25.12	36	0 0 1
32.51	71	1 0 0
41.52	100	1 0 1
58.00	20	1 1 0
62.28	21	1 0 2
73.81	17	2 0 1

Structural model:
```
data_ZrB2
_chemical_formula_sum 'Zr1 B2'
_space_group_name_H-M_alt 'P 6/m m m'
_space_group_IT_number 191
_space_group_name_Hall '-P 6 2'
_cell_length_a 3.1805
_cell_length_b 3.1805
_cell_length_c 3.5455
_cell_angle_alpha 90.00
_cell_angle_beta 90.00
_cell_angle_gamma 120.00
loop_
_atom_site_label
_atom_site_type_symbol
_atom_site_fract_x
_atom_site_fract_y
_atom_site_fract_z
_atom_site_occupancy
Zr1 Zr 0.0000 0.0000 0.0000 1
B1 B 0.3333 0.6667 0.5000 1
```

- What is the formula in the seventh record?
  YB6